The following is a calculated powder diffraction line list of TbY5Ho2. It was derived from a crystal structure in Alexandria, relaxed with GGA-PBE, using Cu Kα X-rays.
Kinematic intensities with the Lorentz-polarization factor, no thermal factor.

```
TbY5Ho2
1.0
5.7695 0.0000 0.0000
0.0000 11.1955 0.0000
-2.4210 0.0000 8.1267
Tb Y Ho
2 10 4
Direct
0.9996 0.2500 0.1508
0.0004 0.7500 0.8492
0.1663 0.5764 0.2089
0.1663 0.9236 0.2089
0.2681 0.2500 0.5790
0.2990 0.5790 0.6221
0.2990 0.9210 0.6221
0.7010 0.0790 0.3779
0.7010 0.4210 0.3779
0.7319 0.7500 0.4210
0.8337 0.0764 0.7911
0.8337 0.4236 0.7911
0.3880 0.1168 0.9638
0.3880 0.3832 0.9638
0.6120 0.6168 0.0362
0.6120 0.8832 0.0362
```

Largest 6 diffraction maxima, in order of rising 2θ, 10 to 90 degrees two-theta:
two_theta	I/Imax
10.89	87
29.21	93
31.05	50
31.85	52
32.39	100
32.58	91